Record 1
Calculated X-ray powder pattern
Compound: Mg2InCu
Radiation: a wavelength of 1.5418 Å
Structure: a DFT-relaxed cell (PBE, Alexandria)

```
data_Mg2InCu
_space_group_name_H-M_alt 'P 1 m 1'
_space_group_IT_number 6
_cell_length_a 3.2627
_cell_length_b 4.4652
_cell_length_c 5.6799
_cell_angle_alpha 90.00
_cell_angle_beta 106.16
_cell_angle_gamma 90.00
loop_
_space_group_symop_operation_xyz
'x,y,z'
'x,-y,z'
loop_
_atom_site_label
_atom_site_type_symbol
_atom_site_fract_x
_atom_site_fract_y
_atom_site_fract_z
_atom_site_occupancy
Mg1 Mg 0.0000 0.0000 0.0000 1
Mg2 Mg 0.3346 0.5000 0.6751 1
In1 In 0.7251 0.0000 0.4563 1
Cu1 Cu 0.5876 0.5000 0.1754 1
```

Main lines, by angle (2θ = 10–80°):
2theta, I (rel.)
16.25, 78
25.78, 64
28.48, 46
28.63, 45
34.98, 42
35.10, 44
38.68, 100
40.40, 48
42.21, 48
42.52, 47

Record 2
Calculated X-ray powder pattern
Compound: Mg2In2Cu3
Radiation: a wavelength of 1.5418 Å
Structure: a DFT-relaxed cell (PBE, Alexandria)

```
data_Mg2In2Cu3
_space_group_name_H-M_alt 'I 21 3'
_space_group_IT_number 199
_space_group_name_Hall 'I 2b 2c 3'
_cell_length_a 8.1511
_cell_length_b 8.1511
_cell_length_c 8.1511
_cell_angle_alpha 90.00
_cell_angle_beta 90.00
_cell_angle_gamma 90.00
loop_
_atom_site_label
_atom_site_type_symbol
_atom_site_fract_x
_atom_site_fract_y
_atom_site_fract_z
_atom_site_occupancy
Mg1 Mg 0.2482 0.2482 0.2482 1
In1 In 0.0558 0.4442 0.5558 1
Cu1 Cu 0.0000 0.2500 0.0421 1
```

Main lines, by angle (2θ = 10–80°):
2theta, I (rel.)
21.81, 59
26.79, 29
31.03, 20
34.81, 45
41.45, 100
44.46, 18
47.31, 24
52.67, 19
62.40, 21
75.60, 17